(1)
This entry pairs a crystal structure of ReNi7Pt4 with its simulated XRD peak list. Radiation: Cu Kα X-rays. Structure: DFT lattice parameters and positions (PBE).
Lines closer than 0.1° are merged.

Top 10 peaks for 2θ = 5–70°, sorted by position:
hkl 1 0 -1, 2θ 22.29, d = 3.988 Å, rel. 100.0
hkl 2 0 0, 2θ 38.93, d = 2.314 Å, rel. 33.7
hkl 1 -2 0, 2θ 39.48, d = 2.282 Å, rel. 42.9
hkl 0 2 1, 2θ 40.96, d = 2.203 Å, rel. 48.1
hkl 0 0 3, 2θ 41.80, d = 2.161 Å, rel. 81.8
hkl 1 2 -2, 2θ 42.65, d = 2.120 Å, rel. 53.4
hkl 2 0 1, 2θ 42.98, d = 2.104 Å, rel. 50.9
hkl -1 2 1, 2θ 44.25, d = 2.047 Å, rel. 42.4
hkl 1 -2 2, 2θ 44.43, d = 2.039 Å, rel. 55.9
hkl 2 0 -2, 2θ 45.49, d = 1.994 Å, rel. 51.1

Crystal structure
Lattice parameters (Å, degrees): 4.658 5.320 6.749 104.76 96.23 90.45
Space group P-1 (No. 2)
Symmetry-distinct sites (fractional):
Re1 0.000 0.000 0.000 [1 per cell]
Ni1 0.194 0.288 0.637 [2 per cell]
Ni2 0.198 0.792 0.663 [2 per cell]
Ni3 0.240 0.574 0.963 [2 per cell]
Ni4 0.500 0.000 0.000 [1 per cell]
Pt1 0.296 0.408 0.288 [2 per cell]
Pt2 0.301 0.915 0.326 [2 per cell]

=====

(2)
This entry pairs a crystal structure of Re2Ni7Pt3 with its simulated XRD peak list. Radiation: Cu Kα X-rays. Structure: DFT lattice parameters and positions (PBE).
Lines closer than 0.1° are merged.

Top 10 peaks for 2θ = 5–70°, sorted by position:
hkl 0 0 2, 2θ 11.64, d = 7.601 Å, rel. 31.8
hkl 0 0 3, 2θ 17.50, d = 5.067 Å, rel. 83.7
hkl 0 1 4, 2θ 32.16, d = 2.784 Å, rel. 74.8
hkl 1 1 -1, 2θ 40.35, d = 2.235 Å, rel. 36.6
hkl 1 1 -2, 2θ 41.25, d = 2.189 Å, rel. 48.5
hkl 0 1 6, 2θ 41.95, d = 2.154 Å, rel. 21.3
hkl 1 1 2, 2θ 43.03, d = 2.102 Å, rel. 100.0
hkl 0 2 0, 2θ 44.31, d = 2.044 Å, rel. 63.8
hkl 1 1 -4, 2θ 45.54, d = 1.992 Å, rel. 74.6
hkl 0 1 7, 2θ 47.40, d = 1.918 Å, rel. 53.4

Crystal structure
Lattice parameters (Å, degrees): 2.680 4.089 15.261 90.00 95.06 90.00
Space group P2/m (No. 10)
Symmetry-distinct sites (fractional):
Re1 0.139 0.000 0.276 [2 per cell]
Ni1 0.082 0.500 0.160 [2 per cell]
Ni2 0.217 0.000 0.435 [2 per cell]
Ni3 0.428 0.000 0.859 [2 per cell]
Ni4 0.500 0.500 0.000 [1 per cell]
Pt1 0.000 0.000 0.000 [1 per cell]
Pt2 0.324 0.500 0.649 [2 per cell]

=====

(3)
This entry pairs a crystal structure of ReNi2Pt8 with its simulated XRD peak list. Radiation: Cu Kα X-rays. Structure: DFT lattice parameters and positions (PBE).
Lines closer than 0.1° are merged.

Top 10 peaks for 2θ = 5–70°, sorted by position:
hkl 0 1 1, 2θ 14.27, d = 6.206 Å, rel. 10.0
hkl 1 1 2, 2θ 30.01, d = 2.977 Å, rel. 10.0
hkl 1 0 3, 2θ 32.18, d = 2.782 Å, rel. 6.1
hkl 0 3 1, 2θ 37.86, d = 2.376 Å, rel. 8.0
hkl 1 1 4, 2θ 40.09, d = 2.249 Å, rel. 8.6
hkl 1 2 3, 2θ 40.84, d = 2.210 Å, rel. 100.0
hkl 0 0 6, 2θ 45.77, d = 1.982 Å, rel. 18.4
hkl 2 0 0, 2θ 46.53, d = 1.952 Å, rel. 18.2
hkl 0 4 0, 2θ 50.16, d = 1.819 Å, rel. 12.3
hkl 2 0 6, 2θ 67.32, d = 1.391 Å, rel. 14.1

Crystal structure
Lattice parameters (Å, degrees): 3.903 7.275 11.894 90.00 90.00 90.00
Space group Immm (No. 71)
Symmetry-distinct sites (fractional):
Re1 0.000 0.000 0.000 [2 per cell]
Ni1 0.000 0.000 0.327 [4 per cell]
Pt1 0.000 0.221 0.500 [4 per cell]
Pt2 0.000 0.266 0.162 [8 per cell]
Pt3 0.000 0.500 0.342 [4 per cell]

=====

Copy entry 3 word for word.
This entry pairs a crystal structure of ReNi2Pt8 with its simulated XRD peak list. Radiation: Cu Kα X-rays. Structure: DFT lattice parameters and positions (PBE).
Lines closer than 0.1° are merged.

Top 10 peaks for 2θ = 5–70°, sorted by position:
hkl 0 1 1, 2θ 14.27, d = 6.206 Å, rel. 10.0
hkl 1 1 2, 2θ 30.01, d = 2.977 Å, rel. 10.0
hkl 1 0 3, 2θ 32.18, d = 2.782 Å, rel. 6.1
hkl 0 3 1, 2θ 37.86, d = 2.376 Å, rel. 8.0
hkl 1 1 4, 2θ 40.09, d = 2.249 Å, rel. 8.6
hkl 1 2 3, 2θ 40.84, d = 2.210 Å, rel. 100.0
hkl 0 0 6, 2θ 45.77, d = 1.982 Å, rel. 18.4
hkl 2 0 0, 2θ 46.53, d = 1.952 Å, rel. 18.2
hkl 0 4 0, 2θ 50.16, d = 1.819 Å, rel. 12.3
hkl 2 0 6, 2θ 67.32, d = 1.391 Å, rel. 14.1

Crystal structure
Lattice parameters (Å, degrees): 3.903 7.275 11.894 90.00 90.00 90.00
Space group Immm (No. 71)
Symmetry-distinct sites (fractional):
Re1 0.000 0.000 0.000 [2 per cell]
Ni1 0.000 0.000 0.327 [4 per cell]
Pt1 0.000 0.221 0.500 [4 per cell]
Pt2 0.000 0.266 0.162 [8 per cell]
Pt3 0.000 0.500 0.342 [4 per cell]